Structure and calculated powder X-ray diffraction pattern of CaCePd2 (a DFT-relaxed cell (PBE, the Materials Project); Cu Kα (λ = 1.5418 Å)).

Crystal structure
Cell lengths 7.1149, 7.1149, 7.1149 Å; angles 90.00, 90.00, 90.00 degrees
Space group Fm-3m (No. 225)
Symmetry-distinct sites (fractional):
1 Ca 0.0000 0.0000 0.0000
2 Ce 0.0000 0.0000 0.5000
3 Pd 0.2500 0.2500 0.2500

Most intense lines, 2θ from 10° to 80°, low angle first:
21.63°, 4.108 Å, intensity 14; 25.03°, 3.557 Å, intensity 1; 35.69°, 2.515 Å, intensity 100; 42.12°, 2.145 Å, intensity 8; 51.37°, 1.779 Å, intensity 17; 56.37°, 1.632 Å, intensity 3; 64.12°, 1.452 Å, intensity 35; 68.53°, 1.369 Å, intensity 3; 75.60°, 1.258 Å, intensity 11; 79.74°, 1.203 Å, intensity 3